This entry pairs a crystal structure of Bi8Se9 with its computed X-ray diffraction stick pattern. Radiation: Cu Kα X-rays. Structure: a cell relaxed with PBE.
Neutral-atom scattering factors, no anomalous dispersion.

Principal peaks in the range 10° ≤ 2θ ≤ 80°, by intensity:
2θ (°)	I (rel.)
28.4	100.0
42.7	37.1
38.4	35.1
52.0	19.1
17.9	18.3
69.5	16.3
24.5	14.9
63.4	11.3
75.3	11.1
58.7	10.6

Structure:
a = 34.680 Å, b = 34.680 Å, c = 34.680 Å
α = 7.01°, β = 7.01°, γ = 7.01°
Fractional coordinates of all 17 atoms:
Bi (0.087, 0.087, 0.087)
Bi (0.148, 0.148, 0.148)
Bi (0.325, 0.325, 0.325)
Bi (0.384, 0.384, 0.384)
Bi (0.616, 0.616, 0.616)
Bi (0.675, 0.675, 0.675)
Bi (0.852, 0.852, 0.852)
Bi (0.913, 0.913, 0.913)
Se (0.035, 0.035, 0.035)
Se (0.200, 0.200, 0.200)
Se (0.265, 0.265, 0.265)
Se (0.435, 0.435, 0.435)
Se (0.500, 0.500, 0.500)
Se (0.565, 0.565, 0.565)
Se (0.735, 0.735, 0.735)
Se (0.800, 0.800, 0.800)
Se (0.965, 0.965, 0.965)

---

This entry pairs a crystal structure of K2UO3F3 with its computed X-ray diffraction stick pattern. Radiation: Cu Kα X-rays. Structure: a cell relaxed with PBE.
Neutral-atom scattering factors, no anomalous dispersion.

Principal peaks in the range 10° ≤ 2θ ≤ 80°, by intensity:
2θ (°)	I (rel.)
15.1	100.0
30.3	51.5
26.3	48.5
49.0	40.0
40.6	33.4
46.5	17.4
63.4	15.5
30.5	14.1
40.7	12.3
76.1	10.7

Structure:
a = 6.765 Å, b = 6.765 Å, c = 3.417 Å
α = 90.00°, β = 90.00°, γ = 120.00°
Fractional coordinates of all 9 atoms:
K (0.333, 0.667, 0.000)
K (0.667, 0.333, 0.000)
U (0.000, 0.000, 0.500)
O (0.000, 0.207, 0.000)
O (0.207, 0.000, 0.000)
O (0.793, 0.793, 0.000)
F (0.000, 0.654, 0.500)
F (0.346, 0.346, 0.500)
F (0.654, 0.000, 0.500)

---

This entry pairs a crystal structure of SiO2 with its computed X-ray diffraction stick pattern. Radiation: Cu Kα X-rays. Structure: a cell relaxed with PBE.
Neutral-atom scattering factors, no anomalous dispersion.

Principal peaks in the range 10° ≤ 2θ ≤ 80°, by intensity:
2θ (°)	I (rel.)
21.3	100.0
35.1	18.3
55.3	8.8
27.6	7.3
62.9	6.6
47.0	6.3
30.2	5.3
43.3	4.7
78.1	4.1
76.8	3.8

Structure:
a = 7.239 Å, b = 7.239 Å, c = 7.239 Å
α = 90.00°, β = 90.00°, γ = 90.00°
Fractional coordinates of all 24 atoms:
Si (0.018, 0.018, 0.018)
Si (0.224, 0.724, 0.776)
Si (0.276, 0.276, 0.276)
Si (0.482, 0.982, 0.518)
Si (0.518, 0.482, 0.982)
Si (0.724, 0.776, 0.224)
Si (0.776, 0.224, 0.724)
Si (0.982, 0.518, 0.482)
O (0.054, 0.640, 0.656)
O (0.140, 0.844, 0.946)
O (0.147, 0.147, 0.147)
O (0.156, 0.446, 0.360)
O (0.344, 0.554, 0.860)
O (0.353, 0.853, 0.647)
O (0.360, 0.156, 0.446)
O (0.446, 0.360, 0.156)
O (0.554, 0.860, 0.344)
O (0.640, 0.656, 0.054)
O (0.647, 0.353, 0.853)
O (0.656, 0.054, 0.640)
O (0.844, 0.946, 0.140)
O (0.853, 0.647, 0.353)
O (0.860, 0.344, 0.554)
O (0.946, 0.140, 0.844)

---

This entry pairs a crystal structure of La5Pm4Tm2 with its computed X-ray diffraction stick pattern. Radiation: Cu Kα X-rays. Structure: a cell relaxed with PBE.
Neutral-atom scattering factors, no anomalous dispersion.

Principal peaks in the range 10° ≤ 2θ ≤ 80°, by intensity:
2θ (°)	I (rel.)
31.8	100.0
34.7	66.1
29.1	57.6
28.7	32.5
59.3	26.4
27.3	24.4
26.4	24.1
36.6	22.1
50.4	20.6
33.4	20.4

Structure:
a = 12.393 Å, b = 12.393 Å, c = 9.303 Å
α = 107.35°, β = 107.35°, γ = 16.80°
Fractional coordinates of all 11 atoms:
La (0.000, 0.000, 0.000)
La (0.328, 0.328, 0.590)
La (0.374, 0.374, 0.034)
La (0.626, 0.626, 0.966)
La (0.672, 0.672, 0.410)
Pm (0.233, 0.233, 0.814)
Pm (0.483, 0.483, 0.673)
Pm (0.517, 0.517, 0.327)
Pm (0.767, 0.767, 0.186)
Tm (0.097, 0.097, 0.626)
Tm (0.903, 0.903, 0.374)

---

This entry pairs a crystal structure of In4Pd9Au2 with its computed X-ray diffraction stick pattern. Radiation: Cu Kα X-rays. Structure: a cell relaxed with PBE.
Neutral-atom scattering factors, no anomalous dispersion.

Principal peaks in the range 10° ≤ 2θ ≤ 80°, by intensity:
2θ (°)	I (rel.)
38.6	100.0
39.7	97.6
56.6	32.3
71.4	31.9
72.1	16.4
69.1	14.8
29.3	7.7
23.5	5.5
44.0	4.0
55.9	2.1

Structure:
a = 4.536 Å, b = 4.536 Å, c = 14.496 Å
α = 90.00°, β = 90.00°, γ = 120.00°
Fractional coordinates of all 15 atoms:
In (0.333, 0.667, 0.151)
In (0.333, 0.667, 0.379)
In (0.667, 0.333, 0.621)
In (0.667, 0.333, 0.849)
Pd (0.000, 0.000, 0.100)
Pd (0.000, 0.000, 0.307)
Pd (0.000, 0.000, 0.500)
Pd (0.000, 0.000, 0.693)
Pd (0.000, 0.000, 0.900)
Pd (0.333, 0.667, 0.571)
Pd (0.333, 0.667, 0.966)
Pd (0.667, 0.333, 0.034)
Pd (0.667, 0.333, 0.429)
Au (0.333, 0.667, 0.769)
Au (0.667, 0.333, 0.231)

---

This entry pairs a crystal structure of Al18Co5Ni3 with its computed X-ray diffraction stick pattern. Radiation: Cu Kα X-rays. Structure: a cell relaxed with PBE.
Neutral-atom scattering factors, no anomalous dispersion.

Principal peaks in the range 10° ≤ 2θ ≤ 80°, by intensity:
2θ (°)	I (rel.)
43.9	100.0
44.8	99.2
44.6	59.5
44.3	39.1
27.2	36.3
21.9	35.8
43.8	35.3
25.2	29.1
24.8	23.2
64.3	21.1

Structure:
a = 6.397 Å, b = 6.397 Å, c = 15.304 Å
α = 105.04°, β = 105.04°, γ = 37.01°
Fractional coordinates of all 26 atoms:
Al (0.000, 0.000, 0.000)
Al (0.000, 0.000, 0.496)
Al (0.009, 0.009, 0.236)
Al (0.009, 0.009, 0.735)
Al (0.184, 0.184, 0.640)
Al (0.186, 0.186, 0.140)
Al (0.204, 0.204, 0.963)
Al (0.210, 0.210, 0.465)
Al (0.406, 0.406, 0.396)
Al (0.409, 0.409, 0.895)
Al (0.500, 0.500, 0.614)
Al (0.505, 0.505, 0.118)
Al (0.600, 0.600, 0.343)
Al (0.600, 0.600, 0.840)
Al (0.805, 0.805, 0.772)
Al (0.806, 0.806, 0.276)
Al (0.823, 0.823, 0.096)
Al (0.823, 0.823, 0.594)
Co (0.391, 0.391, 0.222)
Co (0.391, 0.391, 0.723)
Co (0.618, 0.618, 0.013)
Co (0.618, 0.618, 0.513)
Co (0.798, 0.798, 0.431)
Ni (0.210, 0.210, 0.304)
Ni (0.211, 0.211, 0.805)
Ni (0.798, 0.798, 0.931)